Mg6FeCO8: computed PXRD pattern (λ = 1.5418 Å (Cu Kα)), based on a crystal structure in Alexandria, relaxed with GGA+U.

```
data_Mg6FeCO8
_cell_length_a 4.2527
_cell_length_b 4.2527
_cell_length_c 8.4945
_cell_angle_alpha 90.00
_cell_angle_beta 90.00
_cell_angle_gamma 90.00
_space_group_name_H-M_alt 'P 4/m m m'
_space_group_IT_number 123
_space_group_name_Hall '-P 4 2'
loop_
_atom_site_label
_atom_site_type_symbol
_atom_site_fract_x
_atom_site_fract_y
_atom_site_fract_z
Mg1 Mg 0.0000 0.0000 0.0000
Mg2 Mg 0.0000 0.0000 0.5000
Mg3 Mg 0.0000 0.5000 0.2463
Fe1 Fe 0.5000 0.5000 0.5000
C1 C 0.5000 0.5000 0.0000
O1 O 0.0000 0.0000 0.2478
O2 O 0.0000 0.5000 0.0000
O3 O 0.0000 0.5000 0.5000
O4 O 0.5000 0.5000 0.2483
```

Largest 12 diffraction maxima, low angle first, 10° ≤ 2θ ≤ 90°:
d 8.495, intensity 16.4
d 3.803, intensity 12.5
d 2.834, intensity 8.5
d 2.454, intensity 14.3
d 2.357, intensity 3.5
d 2.125, intensity 100.0
d 2.062, intensity 4.0
d 1.856, intensity 3.5
d 1.578, intensity 3.0
d 1.503, intensity 55.4
d 1.282, intensity 8.3
d 1.227, intensity 16.7